1.
The following is a theoretical PXRD pattern of MnTlH2OF4. It was derived from DFT lattice parameters and positions (PBE+U), using Cu Ka.
Intensities are scaled so that the largest is 100.

a = 13.846 Å, b = 6.728 Å, c = 10.754 Å
α = 90.00°, β = 103.37°, γ = 90.00°
Space group C2/c (No. 15)
Inequivalent atoms, fractional coordinates:
Mn 0.000 0.243 0.250 x4
Mn 0.250 0.250 0.500 x4
Tl 0.082 0.262 0.937 x8
H 0.180 0.092 0.704 x8
H 0.205 0.379 0.247 x8
O 0.235 0.185 0.702 x8
F 0.071 0.045 0.185 x8
F 0.073 0.440 0.189 x8
F 0.107 0.255 0.437 x8
F 0.250 0.023 0.967 x8

Top 10 peaks for 2θ = 10–90°, by angle:
2θ/deg  d [Å]  I/Imax  hkl
13.15  6.735  38.0  2 0 0
16.95  5.231  42.9  0 0 2
23.70  3.754  73.6  3 1 -1
26.49  3.364  53.6  0 2 0
26.85  3.321  100.0  3 1 1
28.22  3.163  59.6  1 1 -3
30.93  2.891  34.6  1 1 3
31.59  2.832  42.4  0 2 2
35.93  2.499  38.2  2 2 2
38.93  2.314  48.1  4 2 -2

2.
The following is a theoretical PXRD pattern of Li9Mn2Co5O16. It was derived from DFT lattice parameters and positions (PBE+U), using Cu Ka.
Intensities are scaled so that the largest is 100.

a = 19.608 Å, b = 2.876 Å, c = 10.328 Å
α = 90.00°, β = 96.47°, γ = 90.00°
Space group Cm (No. 8)
Inequivalent atoms, fractional coordinates:
Li 0.000 0.000 0.000 x2
Li 0.001 0.000 0.479 x2
Li 0.254 0.500 0.122 x2
Li 0.257 0.000 0.868 x2
Li 0.259 0.500 0.606 x2
Li 0.261 0.000 0.350 x2
Li 0.378 0.500 0.298 x2
Li 0.495 0.000 0.237 x2
Li 0.497 0.000 0.732 x2
Mn 0.128 0.000 0.675 x2
Mn 0.378 0.500 0.799 x2
Co 0.127 0.000 0.174 x2
Co 0.127 0.500 0.927 x2
Co 0.130 0.500 0.421 x2
Co 0.374 0.000 0.069 x2
Co 0.382 0.000 0.528 x2
O 0.068 0.500 0.082 x2
O 0.071 0.500 0.597 x2
O 0.074 0.000 0.340 x2
O 0.077 0.000 0.828 x2
O 0.179 0.000 0.521 x2
O 0.182 0.000 0.008 x2
O 0.185 0.500 0.752 x2
O 0.187 0.500 0.264 x2
O 0.316 0.000 0.193 x2
O 0.318 0.500 0.464 x2
O 0.322 0.000 0.717 x2
O 0.324 0.500 0.947 x2
O 0.432 0.500 0.651 x2
O 0.434 0.000 0.881 x2
O 0.436 0.500 0.135 x2
O 0.441 0.000 0.406 x2

Top 10 peaks for 2θ = 10–90°, by angle:
2θ/deg  d [Å]  I/Imax  hkl
18.21  4.871  100.0  4 0 0
35.15  2.553  13.8  2 0 -4
36.36  2.471  24.3  1 1 2
37.72  2.385  7.5  3 1 -2
42.37  2.133  27.4  6 0 -4
43.99  2.058  52.3  5 1 2
47.43  1.917  8.5  7 1 -2
57.76  1.596  9.5  9 1 2
62.50  1.486  14.5  11 1 -2
62.94  1.477  13.2  1 1 -6

3.
The following is a theoretical PXRD pattern of Sr6MgW4O18. It was derived from DFT lattice parameters and positions (PBE+U), using Cu Ka.
Intensities are scaled so that the largest is 100.

a = 6.823 Å, b = 7.446 Å, c = 9.347 Å
α = 76.41°, β = 79.42°, γ = 88.30°
Space group P1 (No. 1)
Inequivalent atoms, fractional coordinates:
Sr 0.000 0.000 0.000 x1
Sr 0.095 0.916 0.557 x1
Sr 0.309 0.317 0.255 x1
Sr 0.503 0.217 0.879 x1
Sr 0.641 0.734 0.829 x1
Sr 0.807 0.515 0.322 x1
Mg 0.386 0.509 0.610 x1
W 0.088 0.478 0.888 x1
W 0.405 0.768 0.191 x1
W 0.600 0.942 0.394 x1
W 0.934 0.308 0.668 x1
O 0.040 0.278 0.467 x1
O 0.061 0.573 0.661 x1
O 0.159 0.654 0.241 x1
O 0.162 0.282 0.050 x1
O 0.197 0.258 0.748 x1
O 0.331 0.974 0.304 x1
O 0.378 0.540 0.820 x1
O 0.382 0.905 0.998 x1
O 0.455 0.903 0.587 x1
O 0.478 0.657 0.402 x1
O 0.550 0.577 0.126 x1
O 0.637 0.193 0.343 x1
O 0.679 0.897 0.181 x1
O 0.681 0.404 0.615 x1
O 0.835 0.331 0.893 x1
O 0.835 0.840 0.436 x1
O 0.851 0.041 0.754 x1
O 0.971 0.676 0.955 x1

Top 10 peaks for 2θ = 10–90°, by angle:
2θ/deg  d [Å]  I/Imax  hkl
17.48  5.074  44.1  0 1 -1
17.92  4.950  100.0  1 0 -1
27.01  3.301  29.1  1 2 1
27.87  3.201  23.7  0 2 2
29.65  3.013  20.1  0 1 3
30.28  2.952  31.4  2 0 2
30.55  2.926  27.5  1 0 3
30.77  2.905  79.7  1 -2 1
31.55  2.836  38.2  -2 1 1
42.44  2.130  19.3  3 1 2

4.
The following is a theoretical PXRD pattern of Li9Mn2Co5O16. It was derived from DFT lattice parameters and positions (PBE+U), using Cu Ka.
Intensities are scaled so that the largest is 100.

a = 2.981 Å, b = 5.973 Å, c = 16.156 Å
α = 90.84°, β = 90.78°, γ = 93.75°
Space group P1 (No. 1)
Inequivalent atoms, fractional coordinates:
Li 0.000 0.000 0.000 x1
Li 0.000 0.499 0.751 x1
Li 0.001 0.006 0.497 x1
Li 0.497 0.760 0.380 x1
Li 0.500 0.751 0.874 x1
Li 0.502 0.247 0.125 x1
Li 0.502 0.251 0.624 x1
Li 0.507 0.241 0.379 x1
Li 0.997 0.495 0.255 x1
Mn 0.996 0.006 0.255 x1
Mn 0.999 0.499 0.001 x1
Co 0.004 0.492 0.496 x1
Co 0.489 0.754 0.126 x1
Co 0.495 0.749 0.625 x1
Co 0.509 0.248 0.874 x1
Co 0.998 0.998 0.749 x1
O 0.006 0.996 0.367 x1
O 0.026 0.515 0.617 x1
O 0.028 0.513 0.124 x1
O 0.037 0.009 0.870 x1
O 0.470 0.744 0.007 x1
O 0.476 0.736 0.508 x1
O 0.477 0.778 0.246 x1
O 0.484 0.758 0.744 x1
O 0.515 0.238 0.756 x1
O 0.520 0.220 0.251 x1
O 0.531 0.255 0.995 x1
O 0.531 0.272 0.502 x1
O 0.967 0.985 0.131 x1
O 0.968 0.989 0.630 x1
O 0.974 0.487 0.879 x1
O 0.999 0.505 0.388 x1

Top 10 peaks for 2θ = 10–90°, by angle:
2θ/deg  d [Å]  I/Imax  hkl
18.36  4.832  100.0  0 1 -2
34.57  2.594  19.5  -1 1 2
36.59  2.456  12.1  1 1 2
36.85  2.439  11.4  0 1 6
37.25  2.414  8.2  0 2 -4
41.46  2.178  33.0  1 -2 0
44.42  2.039  26.3  1 2 0
44.89  2.019  25.2  0 0 8
62.32  1.490  7.9  0 4 0
62.45  1.487  8.0  2 0 0